This entry pairs a crystal structure of BaMo2P3O12 with its computed powder XRD pattern. Radiation: Cu Kα (λ = 1.5418 Å). Structure: a GGA+U-relaxed structure.

The 10 most intense peaks (2θ = 5–70°), sorted by position:
- 20.27 deg, I 99
- 23.10 deg, I 33
- 30.09 deg, I 100
- 35.49 deg, I 33
- 42.15 deg, I 22
- 43.45 deg, I 14
- 47.20 deg, I 33
- 55.50 deg, I 22
- 58.48 deg, I 10
- 60.42 deg, I 21

Crystal structure
Cell lengths 9.5315, 9.5315, 9.5315 Å; angles 54.73, 54.73, 54.73 degrees
Positions (direct):
Ba1 0.0000 0.0000 0.0000
Ba2 0.5000 0.5000 0.5000
Mo1 0.1508 0.1508 0.1508
Mo2 0.3492 0.3492 0.3492
Mo3 0.6508 0.6508 0.6508
Mo4 0.8492 0.8492 0.8492
P1 0.0375 0.7500 0.4625
P2 0.2500 0.5375 0.9625
P3 0.4625 0.0375 0.7500
P4 0.5375 0.9625 0.2500
P5 0.7500 0.4625 0.0375
P6 0.9625 0.2500 0.5375
O1 0.0192 0.7559 0.6306
O2 0.0696 0.9234 0.2889
O3 0.0766 0.7111 0.9304
O4 0.1306 0.2559 0.5192
O5 0.2111 0.5766 0.4304
O6 0.2441 0.3694 0.9808
O7 0.2559 0.5192 0.1306
O8 0.2889 0.0696 0.9234
O9 0.3694 0.9808 0.2441
O10 0.4234 0.5696 0.7889
O11 0.4304 0.2111 0.5766
O12 0.4808 0.8694 0.7441
O13 0.5192 0.1306 0.2559
O14 0.5696 0.7889 0.4234
O15 0.5766 0.4304 0.2111
O16 0.6306 0.0192 0.7559
O17 0.7111 0.9304 0.0766
O18 0.7441 0.4808 0.8694
O19 0.7559 0.6306 0.0192
O20 0.7889 0.4234 0.5696
O21 0.8694 0.7441 0.4808
O22 0.9234 0.2889 0.0696
O23 0.9304 0.0766 0.7111
O24 0.9808 0.2441 0.3694


This entry pairs a crystal structure of BaMo2P3O14 with its computed powder XRD pattern. Radiation: Cu Kα (λ = 1.5418 Å). Structure: a GGA+U-relaxed structure.

The 10 most intense peaks (2θ = 5–70°), sorted by position:
- 20.69 deg, I 35
- 22.07 deg, I 33
- 22.42 deg, I 52
- 22.89 deg, I 56
- 23.76 deg, I 74
- 26.37 deg, I 100
- 27.90 deg, I 31
- 28.98 deg, I 22
- 31.16 deg, I 31
- 46.22 deg, I 20

Crystal structure
Cell lengths 8.3316, 8.3316, 8.7998 Å; angles 97.69, 97.69, 72.73 degrees
Positions (direct):
Ba1 0.0374 0.9626 0.5000
Ba2 0.9626 0.0374 0.0000
Mo1 0.1906 0.5121 0.1585
Mo2 0.5106 0.8047 0.8315
Mo3 0.5121 0.1906 0.6585
Mo4 0.8047 0.5106 0.3315
P1 0.1136 0.3192 0.8079
P2 0.3192 0.1136 0.3079
P3 0.4256 0.5663 0.4993
P4 0.5663 0.4256 0.9993
P5 0.6573 0.8987 0.1981
P6 0.8987 0.6573 0.6981
O1 0.0107 0.1984 0.7462
O2 0.0535 0.4914 0.7251
O3 0.0929 0.3676 0.9823
O4 0.1360 0.6970 0.0716
O5 0.1984 0.0107 0.2462
O6 0.2519 0.2987 0.2771
O7 0.2763 0.6230 0.3745
O8 0.2987 0.2519 0.7771
O9 0.3156 0.9161 0.8919
O10 0.3676 0.0929 0.4823
O11 0.4068 0.7216 0.6236
O12 0.4103 0.4204 0.5799
O13 0.4204 0.4103 0.0799
O14 0.4914 0.0535 0.2251
O15 0.5152 0.5955 0.9294
O16 0.5599 0.9647 0.7415
O17 0.5955 0.5152 0.4294
O18 0.6230 0.2763 0.8745
O19 0.6367 0.7493 0.2678
O20 0.6529 0.8658 0.0187
O21 0.6970 0.1360 0.5716
O22 0.7216 0.4068 0.1236
O23 0.7493 0.6367 0.7678
O24 0.8118 0.9586 0.2530
O25 0.8658 0.6529 0.5187
O26 0.9161 0.3156 0.3919
O27 0.9586 0.8118 0.7530
O28 0.9647 0.5599 0.2415


This entry pairs a crystal structure of Ba3Mo2P4O18 with its computed powder XRD pattern. Radiation: Cu Kα (λ = 1.5418 Å). Structure: a GGA+U-relaxed structure.

The 10 most intense peaks (2θ = 5–70°), sorted by position:
- 19.43 deg, I 75
- 21.48 deg, I 100
- 21.95 deg, I 83
- 22.93 deg, I 48
- 23.03 deg, I 50
- 24.65 deg, I 51
- 28.65 deg, I 47
- 30.31 deg, I 58
- 30.74 deg, I 77
- 31.07 deg, I 97

Crystal structure
Cell lengths 4.9268, 9.3659, 18.2656 Å; angles 88.31, 88.21, 78.52 degrees
Positions (direct):
Ba1 0.0377 0.4087 0.3466
Ba2 0.2738 0.9968 0.7480
Ba3 0.4083 0.5953 0.1463
Ba4 0.5917 0.4047 0.8537
Ba5 0.7262 0.0032 0.2520
Ba6 0.9623 0.5913 0.6534
Mo1 0.1929 0.2336 0.5525
Mo2 0.3296 0.7737 0.9487
Mo3 0.6704 0.2263 0.0513
Mo4 0.8071 0.7664 0.4475
P1 0.1297 0.2659 0.1772
P2 0.2001 0.1526 0.9302
P3 0.2609 0.8590 0.5655
P4 0.3661 0.7122 0.3214
P5 0.6339 0.2878 0.6786
P6 0.7391 0.1410 0.4345
P7 0.7999 0.8474 0.0698
P8 0.8703 0.7341 0.8228
O1 0.9997 0.2025 0.4573
O2 0.0003 0.7975 0.5427
O3 0.0118 0.8213 0.8765
O4 0.0184 0.5754 0.8116
O5 0.1053 0.8419 0.0420
O6 0.1578 0.0183 0.5901
O7 0.1626 0.1773 0.2501
O8 0.1703 0.6979 0.3888
O9 0.1929 0.2290 0.8547
O10 0.2252 0.4127 0.5345
O11 0.2334 0.8144 0.2598
O12 0.2978 0.5934 0.9632
O13 0.3407 0.2379 0.9848
O14 0.3521 0.9924 0.9243
O15 0.3810 0.2240 0.6526
O16 0.3916 0.7644 0.6298
O17 0.4309 0.2706 0.1458
O18 0.4483 0.8599 0.4963
O19 0.4719 0.5555 0.2942
O20 0.5281 0.4445 0.7058
O21 0.5517 0.1401 0.5037
O22 0.5691 0.7294 0.8542
O23 0.6084 0.2356 0.3702
O24 0.6190 0.7760 0.3474
O25 0.6479 0.0076 0.0757
O26 0.6593 0.7621 0.0152
O27 0.7022 0.4066 0.0368
O28 0.7666 0.1856 0.7402
O29 0.7748 0.5873 0.4655
O30 0.8071 0.7710 0.1453
O31 0.8297 0.3021 0.6112
O32 0.8374 0.8227 0.7499
O33 0.8422 0.9817 0.4099
O34 0.8947 0.1581 0.9580
O35 0.9816 0.4246 0.1884
O36 0.9882 0.1787 0.1235


This entry pairs a crystal structure of BaMoP2O8 with its computed powder XRD pattern. Radiation: Cu Kα (λ = 1.5418 Å). Structure: a GGA+U-relaxed structure.

The 10 most intense peaks (2θ = 5–70°), sorted by position:
- 19.66 deg, I 66
- 19.76 deg, I 67
- 21.13 deg, I 100
- 22.35 deg, I 43
- 29.24 deg, I 70
- 29.52 deg, I 69
- 30.47 deg, I 51
- 30.61 deg, I 48
- 33.60 deg, I 50
- 36.11 deg, I 44

Crystal structure
Cell lengths 4.9743, 5.0024, 7.9784 Å; angles 86.30, 86.82, 64.65 degrees
Positions (direct):
Ba1 0.0000 0.0000 0.0000
Mo1 0.0000 0.0000 0.5000
P1 0.3639 0.3679 0.2881
P2 0.6361 0.6321 0.7119
O1 0.2253 0.2405 0.4323
O2 0.2426 0.7072 0.3095
O3 0.2899 0.7800 0.6883
O4 0.3071 0.3130 0.1106
O5 0.6929 0.6870 0.8894
O6 0.7101 0.2200 0.3117
O7 0.7574 0.2928 0.6905
O8 0.7747 0.7595 0.5677


This entry pairs a crystal structure of BaMo4P2O16 with its computed powder XRD pattern. Radiation: Cu Kα (λ = 1.5418 Å). Structure: a GGA+U-relaxed structure.

The 10 most intense peaks (2θ = 5–70°), sorted by position:
- 13.99 deg, I 38
- 15.48 deg, I 42
- 16.49 deg, I 85
- 22.70 deg, I 49
- 26.13 deg, I 93
- 27.37 deg, I 100
- 36.32 deg, I 47
- 40.72 deg, I 36
- 41.19 deg, I 37
- 50.12 deg, I 35

Crystal structure
Cell lengths 7.8507, 7.8507, 7.8507 Å; angles 122.10, 122.10, 86.40 degrees
Positions (direct):
Ba1 0.0000 0.0000 0.0000
Mo1 0.2495 0.2495 0.7554
Mo2 0.4941 0.4941 0.2446
Mo3 0.5059 0.7505 0.0000
Mo4 0.7505 0.5059 0.0000
P1 0.0000 0.5000 0.5000
P2 0.5000 0.0000 0.5000
O1 0.0365 0.2979 0.4882
O2 0.0817 0.0817 0.7188
O3 0.1903 0.7021 0.7386
O4 0.2844 0.5439 0.0000
O5 0.2979 0.0365 0.4882
O6 0.3628 0.3628 0.2812
O7 0.4517 0.9635 0.2614
O8 0.4561 0.4561 0.7405
O9 0.5439 0.2844 0.0000
O10 0.5483 0.8097 0.5118
O11 0.6372 0.9183 0.0000
O12 0.7021 0.1903 0.7386
O13 0.7156 0.7156 0.2595
O14 0.8097 0.5483 0.5118
O15 0.9183 0.6372 0.0000
O16 0.9635 0.4517 0.2614


This entry pairs a crystal structure of BaMoP2O8 with its computed powder XRD pattern. Radiation: Cu Kα (λ = 1.5418 Å). Structure: a GGA+U-relaxed structure.

The 10 most intense peaks (2θ = 5–70°), sorted by position:
- 19.67 deg, I 93
- 21.24 deg, I 72
- 22.31 deg, I 34
- 23.05 deg, I 29
- 29.29 deg, I 100
- 30.56 deg, I 71
- 33.43 deg, I 36
- 36.32 deg, I 59
- 40.58 deg, I 31
- 50.89 deg, I 27

Crystal structure
Cell lengths 4.9779, 4.9779, 7.9854 Å; angles 93.73, 93.73, 65.15 degrees
Positions (direct):
Ba1 0.0000 0.0000 0.0000
Mo1 0.0000 0.0000 0.5000
P1 0.3677 0.3677 0.7117
P2 0.6323 0.6323 0.2883
O1 0.2333 0.7095 0.6893
O2 0.2340 0.2340 0.5654
O3 0.2905 0.7667 0.3107
O4 0.3112 0.3112 0.8885
O5 0.6888 0.6888 0.1115
O6 0.7095 0.2333 0.6893
O7 0.7660 0.7660 0.4346
O8 0.7667 0.2905 0.3107